Theoretical X-ray diffraction stick pattern
Compound: Hg3S2Cl2
Radiation: Cu Kα, 1.54184 Å
Structure: a cell relaxed with PBE

Atomic structure:
```
Hg3S2Cl2
1.0
-4.611 4.611 4.611
4.611 -4.611 4.611
4.611 4.611 -4.611
Hg S Cl
6 4 4
direct
0.197 0.947 0.250
0.250 0.197 0.947
0.303 0.553 0.750
0.553 0.750 0.303
0.750 0.303 0.553
0.947 0.250 0.197
0.000 0.524 0.500
0.500 0.000 0.524
0.524 0.500 0.000
0.976 0.976 0.976
0.000 0.011 0.500
0.011 0.500 0.000
0.489 0.489 0.489
0.500 0.000 0.011
```

Most intense lines, 10° ≤ 2θ ≤ 90°, in order of rising 2θ:
2θ 13.58, rel. 33.8
2θ 23.63, rel. 100.0
2θ 30.66, rel. 49.4
2θ 33.67, rel. 42.3
2θ 36.46, rel. 28.1
2θ 39.07, rel. 30.9
2θ 41.55, rel. 28.8
2θ 50.46, rel. 39.2
2θ 54.50, rel. 23.3
2θ 58.35, rel. 16.4
2θ 62.04, rel. 23.7
2θ 85.56, rel. 15.6